Structure and computed X-ray powder pattern of Na2ZnSbH (a structure optimized by DFT (PBE); copper Kα).
Intensities are scaled so that the largest is 100.

Cell: 6.4359 4.4393 8.3181 Å, 90.00 109.72 90.00°
Space group P2_1/m (No. 11)
Unique sites:
1 Na 0.1659 0.2500 0.3950 x2
2 Na 0.2386 0.2500 0.9447 x2
3 Zn 0.4117 0.7500 0.2602 x2
4 Sb 0.3540 0.7500 0.6974 x2
5 H 0.1389 0.7500 0.1757 x2

Most intense lines, 10° ≤ 2θ ≤ 90°, in order of rising 2θ:
(hkl)  2θ/deg  I/Imax
1 0 0  14.6  100
1 0 -2  22.5  52
0 0 2  22.7  52
1 1 0  24.9  32
1 1 -2  30.3  33
0 1 2  30.4  27
2 1 0  35.9  65
2 1 -2  36.8  57
1 1 2  37.3  37
0 2 0  40.6  32